This entry pairs a crystal structure of Cu2SiHgTe3S with its theoretical X-ray powder pattern. Radiation: CuKα. Structure: a cell relaxed with GGA-PBE.

Structural model:
a b c (Å): 8.526 8.565 7.090
angles (deg): 90.00 125.72 90.00
Space group Cm (No. 8)
One atom of each set of equivalent atoms:
Cu: 0.000 0.225 0.000 [4 per cell]
Si: 0.004 0.000 0.456 [2 per cell]
Hg: 0.488 0.000 0.477 [2 per cell]
Te: 0.130 0.226 0.748 [4 per cell]
Te: 0.132 0.500 0.194 [2 per cell]
S: 0.091 0.000 0.221 [2 per cell]

Largest 10 diffraction maxima, low angle first, 2θ from 10° to 90°:
- d = 5.384 Å, I = 32
- d = 3.461 Å, I = 50
- d = 3.436 Å, I = 100
- d = 3.391 Å, I = 57
- d = 3.262 Å, I = 28
- d = 2.639 Å, I = 37
- d = 2.141 Å, I = 34
- d = 2.100 Å, I = 51
- d = 2.068 Å, I = 43
- d = 1.821 Å, I = 33

This entry pairs a crystal structure of Cu2SnHgTeS3 with its theoretical X-ray powder pattern. Radiation: CuKα. Structure: a cell relaxed with GGA-PBE.

Structural model:
a b c (Å): 8.202 8.187 6.967
angles (deg): 90.00 125.12 90.00
Space group Cm (No. 8)
One atom of each set of equivalent atoms:
Cu: 0.000 0.225 0.000 [4 per cell]
Sn: 0.467 0.500 0.466 [2 per cell]
Hg: 0.494 0.000 0.468 [2 per cell]
Te: 0.379 0.000 0.775 [2 per cell]
S: 0.344 0.260 0.194 [4 per cell]
S: 0.382 0.500 0.757 [2 per cell]

Largest 10 diffraction maxima, low angle first, 2θ from 10° to 90°:
- d = 5.190 Å, I = 20
- d = 4.094 Å, I = 31
- d = 3.355 Å, I = 61
- d = 3.325 Å, I = 100
- d = 3.303 Å, I = 64
- d = 2.049 Å, I = 50
- d = 2.043 Å, I = 46
- d = 2.020 Å, I = 44
- d = 1.739 Å, I = 31
- d = 1.724 Å, I = 22

This entry pairs a crystal structure of Cu2SiHgTe2Se2 with its theoretical X-ray powder pattern. Radiation: CuKα. Structure: a cell relaxed with GGA-PBE.

Structural model:
a b c (Å): 8.510 8.521 11.426
angles (deg): 90.00 90.00 90.00
Space group Fmm2 (No. 42)
One atom of each set of equivalent atoms:
Cu: 0.250 0.250 0.000 [8 per cell]
Si: 0.000 0.000 0.228 [4 per cell]
Hg: 0.000 0.000 0.738 [4 per cell]
Te: 0.000 0.226 0.375 [8 per cell]
Se: 0.222 0.000 0.106 [8 per cell]

Largest 10 diffraction maxima, low angle first, 2θ from 10° to 90°:
- d = 5.327 Å, I = 15
- d = 3.414 Å, I = 100
- d = 3.219 Å, I = 15
- d = 2.621 Å, I = 19
- d = 2.129 Å, I = 25
- d = 2.072 Å, I = 47
- d = 1.806 Å, I = 29
- d = 1.738 Å, I = 13
- d = 1.347 Å, I = 10
- d = 1.218 Å, I = 13

This entry pairs a crystal structure of Cu2SiHgTe3Se with its theoretical X-ray powder pattern. Radiation: CuKα. Structure: a cell relaxed with GGA-PBE.

Structural model:
a b c (Å): 8.634 8.639 7.221
angles (deg): 90.00 126.08 90.00
Space group Cm (No. 8)
One atom of each set of equivalent atoms:
Cu: 0.000 0.239 0.000 [4 per cell]
Si: 0.003 0.000 0.478 [2 per cell]
Hg: 0.489 0.000 0.488 [2 per cell]
Te: 0.133 0.227 0.761 [4 per cell]
Te: 0.134 0.500 0.215 [2 per cell]
Se: 0.090 0.000 0.225 [2 per cell]

Largest 10 diffraction maxima, low angle first, 2θ from 10° to 90°:
- d = 5.428 Å, I = 19
- d = 3.489 Å, I = 47
- d = 3.472 Å, I = 100
- d = 3.452 Å, I = 52
- d = 2.662 Å, I = 27
- d = 2.159 Å, I = 50
- d = 2.118 Å, I = 48
- d = 2.101 Å, I = 46
- d = 1.838 Å, I = 31
- d = 1.830 Å, I = 28

This entry pairs a crystal structure of Cu2SnHgTeSe3 with its theoretical X-ray powder pattern. Radiation: CuKα. Structure: a cell relaxed with GGA-PBE.

Structural model:
a b c (Å): 8.496 8.520 7.251
angles (deg): 90.00 125.60 90.00
Space group Cm (No. 8)
One atom of each set of equivalent atoms:
Cu: 0.000 0.239 0.000 [4 per cell]
Sn: 0.021 0.000 0.519 [2 per cell]
Hg: 0.001 0.500 0.516 [2 per cell]
Te: 0.115 0.500 0.219 [2 per cell]
Se: 0.108 0.000 0.225 [2 per cell]
Se: 0.148 0.244 0.794 [4 per cell]

Largest 10 diffraction maxima, low angle first, 2θ from 10° to 90°:
- d = 4.257 Å, I = 11
- d = 3.453 Å, I = 100
- d = 3.439 Å, I = 36
- d = 2.679 Å, I = 15
- d = 2.130 Å, I = 18
- d = 2.124 Å, I = 18
- d = 2.109 Å, I = 32
- d = 2.102 Å, I = 31
- d = 1.812 Å, I = 33
- d = 1.504 Å, I = 11

This entry pairs a crystal structure of ZnCuSnHgSe4 with its theoretical X-ray powder pattern. Radiation: CuKα. Structure: a cell relaxed with GGA-PBE.

Structural model:
a b c (Å): 5.965 5.965 12.116
angles (deg): 90.00 90.00 90.00
Space group I-4 (No. 82)
One atom of each set of equivalent atoms:
Zn: 0.000 0.000 0.000 [2 per cell]
Cu: 0.000 0.500 0.750 [2 per cell]
Sn: 0.000 0.500 0.250 [2 per cell]
Hg: 0.000 0.000 0.500 [2 per cell]
Se: 0.210 0.741 0.874 [8 per cell]

Largest 10 diffraction maxima, low angle first, 2θ from 10° to 90°:
- d = 5.352 Å, I = 10
- d = 3.462 Å, I = 100
- d = 3.344 Å, I = 9
- d = 2.605 Å, I = 11
- d = 2.125 Å, I = 49
- d = 2.109 Å, I = 23
- d = 1.821 Å, I = 16
- d = 1.801 Å, I = 29
- d = 1.378 Å, I = 12
- d = 1.221 Å, I = 13